[1]
NaLi2AsCl6: simulated powder diffraction line list (Cu Kα (weighted mean of Kα1 and Kα2)), based on a DFT-relaxed cell (GGA-PBE, Alexandria).

Principal peaks in the range 10° ≤ 2θ ≤ 90°, by intensity:
2θ/deg	d [Å]	I (rel.)
30.90	2.894	100
38.88	2.316	75
18.24	4.863	57
13.22	6.695	55
49.18	1.853	37
49.77	1.832	25
23.88	3.726	24
16.55	5.357	17
64.40	1.447	15
85.08	1.140	13

Unit cell a=7.6518 b=7.6518 c=7.6518 alpha=49.59 beta=49.59 gamma=49.59
Positions (direct):
Na (0.0000, 0.0000, 0.0000)
Li (0.1753, 0.1753, 0.1753)
Li (0.8247, 0.8247, 0.8247)
As (0.5000, 0.5000, 0.5000)
Cl (0.1074, 0.4225, 0.7590)
Cl (0.2410, 0.8926, 0.5775)
Cl (0.4225, 0.7590, 0.1074)
Cl (0.5775, 0.2410, 0.8926)
Cl (0.7590, 0.1074, 0.4225)
Cl (0.8926, 0.5775, 0.2410)

---

[2]
MnAsPbCl2: simulated powder diffraction line list (Cu Kα (weighted mean of Kα1 and Kα2)), based on a DFT-relaxed cell (GGA-PBE, Alexandria).

Principal peaks in the range 10° ≤ 2θ ≤ 90°, by intensity:
2θ/deg	d [Å]	I (rel.)
22.53	3.946	100
16.30	5.438	70
32.94	2.719	65
23.13	3.845	65
46.01	1.973	50
40.28	2.239	46
31.20	2.867	38
39.20	2.298	35
57.74	1.597	25
15.45	5.733	24

Unit cell a=5.4380 b=5.4380 c=5.7334 alpha=90.00 beta=90.00 gamma=90.00
Positions (direct):
Mn (0.0000, 0.0000, 0.0000)
As (0.5000, 0.5000, 0.0000)
Pb (0.0000, 0.0000, 0.5000)
Cl (0.0000, 0.5000, 0.5000)
Cl (0.5000, 0.0000, 0.5000)